1.
Simulated X-ray powder pattern of HfH6O3F4 for Cu Kα, 1.54184 Å, from a DFT-relaxed cell (GGA-PBE, OQMD).

Crystal structure
Lattice parameters (Å, degrees): 6.5789 9.8360 7.4044 90.00 103.69 90.00
Space group P2_1/c (No. 14)
Asymmetric unit:
Hf: 0.2405 0.0403 0.4595
H: 0.1174 0.6183 0.3988
H: 0.2307 0.1944 0.0760
H: 0.2816 0.6310 0.6592
H: 0.2828 0.7279 0.8460
H: 0.2955 0.1888 0.8810
H: 0.3277 0.5579 0.3809
O: 0.2599 0.6338 0.7897
O: 0.2713 0.6310 0.4457
O: 0.3023 0.2470 0.9936
F: 0.0629 0.6139 0.0468
F: 0.1242 0.1024 0.1895
F: 0.2628 0.0850 0.7347
F: 0.4821 0.5801 0.1246

The 10 most intense peaks (10 to 90 degrees two-theta), by intensity:
index, 2θ/deg, Rel. int.
0 1 1, 15.26, 100
0 2 0, 18.04, 28
2 0 0, 27.92, 18
2 1 -1, 29.21, 17
0 0 2, 24.75, 12
0 3 1, 29.95, 11
1 2 -1, 24.35, 9
2 2 0, 33.44, 8
1 5 0, 48.41, 8
1 3 0, 30.65, 7



2.
Simulated X-ray powder pattern of KNdCu3Te4 for Cu Kα, 1.54184 Å, from a DFT-relaxed cell (GGA-PBE, OQMD).

Crystal structure
Lattice parameters (Å, degrees): 6.8402 6.8402 6.8402 90.00 90.00 90.00
Space group P-43m (No. 215)
Asymmetric unit:
K: 0.0000 0.0000 0.0000
Nd: 0.5000 0.5000 0.5000
Cu: 0.0000 0.5000 0.5000
Te: 0.2589 0.2589 0.2589

The 10 most intense peaks (10 to 90 degrees two-theta), by intensity:
index, 2θ/deg, Rel. int.
2 2 0, 37.18, 100
1 1 1, 22.51, 81
3 1 1, 43.90, 40
4 2 2, 67.03, 33
1 0 0, 12.94, 33
4 0 0, 53.59, 17
3 3 1, 58.85, 16
3 3 3, 71.69, 11
5 3 1, 83.64, 11
1 1 0, 18.34, 11



3.
Simulated X-ray powder pattern of PmPrGa4 for Cu Kα, 1.54184 Å, from a DFT-relaxed cell (GGA-PBE, OQMD).

Crystal structure
Lattice parameters (Å, degrees): 4.2756 4.2756 8.5869 90.00 90.00 120.00
Space group P6/mmm (No. 191)
Asymmetric unit:
Pm: 0.0000 0.0000 0.0000
Pr: 0.0000 0.0000 0.5000
Ga: 0.3333 0.6667 0.2464

The 10 most intense peaks (10 to 90 degrees two-theta), by intensity:
index, 2θ/deg, Rel. int.
1 0 2, 31.92, 100
1 1 0, 42.28, 41
1 1 4, 61.18, 27
2 0 2, 53.93, 22
2 1 2, 70.81, 20
0 0 4, 42.09, 14
1 0 0, 24.03, 11
1 0 6, 70.55, 10
3 0 0, 77.31, 7
2 0 6, 85.82, 6



4.
Simulated X-ray powder pattern of Na2CdPO4F for Cu Kα, 1.54184 Å, from a DFT-relaxed cell (GGA-PBE, OQMD).

Crystal structure
Lattice parameters (Å, degrees): 5.3229 6.8251 12.2291 90.00 90.00 90.00
Space group Pnma (No. 62)
Asymmetric unit:
Na: 0.2384 0.0067 0.1744
Cd: 0.2296 0.7500 0.9099
P: 0.2124 0.7500 0.4220
O: 0.0823 0.2500 0.5733
O: 0.1856 0.2500 0.0402
O: 0.1964 0.0679 0.8575
F: 0.0020 0.2500 0.2651

The 10 most intense peaks (10 to 90 degrees two-theta), by intensity:
index, 2θ/deg, Rel. int.
1 0 2, 22.14, 100
1 2 2, 34.49, 100
0 1 1, 14.86, 61
2 0 0, 33.68, 57
0 2 0, 26.11, 49
1 0 4, 33.81, 47
0 2 2, 29.99, 45
1 1 1, 22.39, 42
0 2 6, 52.28, 41
2 2 2, 45.70, 40



5.
Simulated X-ray powder pattern of Cu7Ag for Cu Kα, 1.54184 Å, from a DFT-relaxed cell (GGA-PBE, OQMD).

Crystal structure
Lattice parameters (Å, degrees): 2.6383 5.2569 7.2445 90.00 90.00 90.00
Space group Pmmm (No. 47)
Asymmetric unit:
Cu: 0.0000 0.0000 0.0000
Cu: 0.0000 0.0000 0.5000
Cu: 0.0000 0.5000 0.0000
Cu: 0.5000 0.2414 0.2380
Ag: 0.0000 0.5000 0.5000

The 10 most intense peaks (10 to 90 degrees two-theta), by intensity:
index, 2θ/deg, Rel. int.
1 0 2, 42.38, 100
0 2 2, 42.49, 99
1 2 0, 48.91, 65
1 2 4, 72.85, 34
0 0 4, 50.38, 28
2 2 2, 86.89, 22
1 4 2, 87.11, 21
1 0 6, 89.24, 19
2 0 0, 71.52, 10
0 4 0, 71.83, 9



6.
Simulated X-ray powder pattern of Sr2PrGe4Pd4 for Cu Kα, 1.54184 Å, from a DFT-relaxed cell (GGA-PBE, OQMD).

Crystal structure
Lattice parameters (Å, degrees): 4.3249 4.3999 25.3381 90.00 90.00 90.00
Space group Immm (No. 71)
Asymmetric unit:
Sr: 0.0000 0.0000 0.1460
Pr: 0.0000 0.5000 0.0000
Ge: 0.0000 0.0000 0.3020
Ge: 0.0000 0.5000 0.4515
Pd: 0.0000 0.0000 0.4029
Pd: 0.0000 0.5000 0.2497

The 10 most intense peaks (10 to 90 degrees two-theta), by intensity:
index, 2θ/deg, Rel. int.
1 1 4, 32.27, 100
0 2 0, 41.03, 22
2 0 0, 41.77, 21
0 1 11, 44.39, 15
0 1 9, 37.94, 14
2 2 0, 59.99, 14
1 2 7, 53.12, 13
2 1 11, 62.59, 10
1 1 10, 46.38, 10
3 1 4, 70.30, 10



7.
Simulated X-ray powder pattern of DyTmAg2Se4 for Cu Kα, 1.54184 Å, from a DFT-relaxed cell (GGA-PBE, OQMD).

Crystal structure
Lattice parameters (Å, degrees): 9.5188 9.5332 4.2908 90.00 90.00 90.00
Space group Cmm2 (No. 35)
Asymmetric unit:
Dy: 0.0000 0.0000 0.0000
Tm: 0.0000 0.5000 0.5916
Ag: 0.2500 0.2500 0.7958
Se: 0.0000 0.3004 0.0797
Se: 0.2037 0.0000 0.5119

The 10 most intense peaks (10 to 90 degrees two-theta), by intensity:
index, 2θ/deg, Rel. int.
1 3 1, 36.44, 100
4 0 0, 37.78, 86
0 2 1, 27.99, 66
2 2 1, 33.83, 56
3 3 1, 45.60, 54
0 2 2, 46.42, 47
1 1 1, 24.60, 43
2 2 0, 26.46, 32
4 2 2, 61.33, 27
4 4 0, 54.49, 22



8.
Simulated X-ray powder pattern of TmHf3Tl2C2 for Cu Kα, 1.54184 Å, from a DFT-relaxed cell (GGA-PBE, OQMD).

Crystal structure
Lattice parameters (Å, degrees): 3.3804 3.3804 15.1727 90.00 90.00 120.00
Space group P3m1 (No. 156)
Asymmetric unit:
Tm: 0.0000 0.0000 0.0000
Hf: 0.0000 0.0000 0.6587
Hf: 0.6667 0.3333 0.1692
Hf: 0.6667 0.3333 0.5007
Tl: 0.0000 0.0000 0.3360
Tl: 0.6667 0.3333 0.8259
C: 0.3333 0.6667 0.0955
C: 0.3333 0.6667 0.5797

The 10 most intense peaks (10 to 90 degrees two-theta), by intensity:
index, 2θ/deg, Rel. int.
0 0 6, 35.44, 100
1 1 6, 66.52, 31
1 0 0, 30.54, 19
1 1 0, 54.27, 17
0 1 9, 63.70, 15
0 1 6, 47.51, 13
2 0 9, 88.45, 6
2 0 6, 74.97, 3
2 0 0, 63.56, 2
0 1 12, 83.24, 2



9.
Simulated X-ray powder pattern of NpBrCl2 for Cu Kα, 1.54184 Å, from a DFT-relaxed cell (GGA-PBE, OQMD).

Crystal structure
Lattice parameters (Å, degrees): 7.3445 4.3106 7.5909 90.00 117.69 90.00
Space group P2_1/m (No. 11)
Asymmetric unit:
Np: 0.1701 0.2500 0.3381
Br: 0.2152 0.7500 0.0787
Cl: 0.1019 0.2500 0.6865
Cl: 0.4059 0.7500 0.5981

The 10 most intense peaks (10 to 90 degrees two-theta), by intensity:
index, 2θ/deg, Rel. int.
1 1 -1, 24.92, 100
1 0 -1, 13.87, 97
3 0 0, 41.68, 93
0 1 2, 33.82, 85
2 1 -2, 34.97, 80
1 0 0, 13.62, 75
1 0 1, 23.03, 58
2 1 0, 34.55, 52
0 1 1, 24.53, 49
3 0 -3, 42.44, 44